For Ba6Ga2HO, a crystal structure in Alexandria, relaxed with GGA-PBE gives the computed powder X-ray diffraction pattern in this record (CuKα).

Main lines, in order of falling intensity (2θ from 15° to 90°):
| 2θ (°) | I/Imax |
| --- | --- |
| 27.48 | 100 |
| 32.23 | 70 |
| 28.15 | 61 |
| 26.66 | 57 |
| 26.89 | 37 |
| 26.36 | 28 |
| 48.24 | 28 |
| 29.86 | 19 |
| 25.65 | 18 |
| 48.55 | 14 |
| 48.79 | 12 |
| 46.20 | 12 |

Structure:
a = 7.7139 Å, b = 7.9921 Å, c = 13.5240 Å
α = 90.00°, β = 124.63°, γ = 90.00°
Positions (direct):
Ba1 0.1458 0.0185 0.2412
Ba2 0.1458 0.4815 0.7412
Ba3 0.2450 0.7169 0.0473
Ba4 0.2450 0.7831 0.5473
Ba5 0.3341 0.2017 0.0492
Ba6 0.3341 0.2983 0.5492
Ba7 0.6659 0.7017 0.4508
Ba8 0.6659 0.7983 0.9508
Ba9 0.7550 0.2169 0.4527
Ba10 0.7550 0.2831 0.9527
Ba11 0.8542 0.5185 0.2588
Ba12 0.8542 0.9815 0.7588
Ga1 0.2720 0.0556 0.7493
Ga2 0.2720 0.4444 0.2493
Ga3 0.7280 0.5556 0.7507
Ga4 0.7280 0.9444 0.2507
H1 0.5000 0.0000 0.5000
H2 0.5000 0.5000 0.0000
O1 0.0000 0.0000 0.0000
O2 0.0000 0.5000 0.5000


For BaGa2PH2, a crystal structure in Alexandria, relaxed with GGA-PBE gives the computed powder X-ray diffraction pattern in this record (CuKα).

Main lines, in order of falling intensity (2θ from 15° to 90°):
| 2θ (°) | I/Imax |
| --- | --- |
| 27.24 | 100 |
| 27.96 | 96 |
| 31.80 | 95 |
| 21.76 | 79 |
| 24.05 | 77 |
| 39.87 | 67 |
| 38.09 | 55 |
| 45.98 | 51 |
| 31.06 | 47 |
| 36.25 | 45 |
| 52.85 | 41 |
| 44.83 | 31 |

Structure:
a = 6.4873 Å, b = 5.3161 Å, c = 6.9645 Å
α = 90.00°, β = 100.38°, γ = 90.00°
Positions (direct):
Ba1 0.2340 0.2500 0.3657
Ba2 0.7660 0.7500 0.6343
Ga1 0.2483 0.5069 0.8596
Ga2 0.2483 0.9931 0.8596
Ga3 0.7517 0.0069 0.1404
Ga4 0.7517 0.4931 0.1404
P1 0.4537 0.7500 0.2024
P2 0.5463 0.2500 0.7976
H1 0.0561 0.2500 0.6712
H2 0.1515 0.2500 0.9916
H3 0.8485 0.7500 0.0084
H4 0.9439 0.7500 0.3288


For Ba2GaHRh, a crystal structure in Alexandria, relaxed with GGA-PBE gives the computed powder X-ray diffraction pattern in this record (CuKα).

Main lines, in order of falling intensity (2θ from 15° to 90°):
| 2θ (°) | I/Imax |
| --- | --- |
| 32.58 | 100 |
| 30.97 | 58 |
| 56.12 | 42 |
| 44.37 | 21 |
| 59.14 | 18 |
| 68.26 | 12 |
| 73.32 | 9 |
| 74.20 | 9 |
| 49.04 | 8 |
| 81.16 | 7 |
| 64.55 | 7 |
| 85.11 | 6 |

Structure:
a = 5.7746 Å, b = 5.7746 Å, c = 3.7153 Å
α = 90.00°, β = 90.00°, γ = 90.00°
Positions (direct):
Ba1 0.0000 0.5000 0.0000
Ba2 0.5000 0.0000 0.0000
Ga1 0.0000 0.0000 0.5000
H1 0.5000 0.5000 0.0000
Rh1 0.5000 0.5000 0.5000


For BaHfGa, a crystal structure in Alexandria, relaxed with GGA-PBE gives the computed powder X-ray diffraction pattern in this record (CuKα).

Main lines, in order of falling intensity (2θ from 15° to 90°):
| 2θ (°) | I/Imax |
| --- | --- |
| 34.22 | 100 |
| 36.31 | 61 |
| 31.07 | 31 |
| 37.84 | 27 |
| 37.96 | 27 |
| 23.86 | 25 |
| 46.60 | 21 |
| 34.95 | 21 |
| 26.12 | 20 |
| 61.60 | 18 |
| 61.50 | 17 |
| 27.87 | 16 |

Structure:
a = 3.5389 Å, b = 3.8982 Å, c = 12.8041 Å
α = 90.00°, β = 90.18°, γ = 90.00°
Positions (direct):
Ba1 0.2462 0.2500 0.1555
Ba2 0.7538 0.7500 0.8445
Hf1 0.2491 0.2500 0.4321
Hf2 0.7509 0.7500 0.5679
Ga1 0.2520 0.2500 0.6600
Ga2 0.7480 0.7500 0.3400